No. 1
This entry pairs a crystal structure of Rb6Pm3Br14 with its simulated powder diffractogram. Radiation: CuKα. Structure: a crystal structure in Alexandria, relaxed with GGA-PBE.
No peak broadening, texture or thermal motion is included.

Crystal structure
a b c (Å): 12.1744 12.1744 7.7322
angles (deg): 90.00 90.00 120.00
Atoms (fractional coordinates):
Rb  0.0442  0.4711  0.0000
Rb  0.3078  0.1944  0.5332
Rb  0.4268  0.9558  0.0000
Rb  0.5289  0.5732  0.0000
Rb  0.8056  0.1134  0.5332
Rb  0.8866  0.6922  0.5332
Pm  0.0000  0.0000  0.0918
Pm  0.3333  0.6667  0.5604
Pm  0.6667  0.3333  0.1860
Br  0.0000  0.0000  0.7279
Br  0.0927  0.2351  0.2487
Br  0.1424  0.9073  0.2487
Br  0.1805  0.7477  0.7240
Br  0.2523  0.4328  0.7240
Br  0.3333  0.6667  0.1963
Br  0.4405  0.2474  0.9743
Br  0.5307  0.1086  0.4009
Br  0.5672  0.8195  0.7240
Br  0.5779  0.4693  0.4009
Br  0.7526  0.1931  0.9743
Br  0.7649  0.8576  0.2487
Br  0.8069  0.5595  0.9743
Br  0.8914  0.4221  0.4009

Main lines, by angle (2θ = 10–80°):
| 2theta | intensity |
| --- | --- |
| 14.20 | 44 |
| 14.55 | 50 |
| 20.39 | 49 |
| 25.14 | 100 |
| 27.33 | 30 |
| 27.89 | 57 |
| 28.63 | 69 |
| 29.34 | 55 |
| 38.89 | 33 |
| 41.74 | 31 |

---

No. 2
This entry pairs a crystal structure of Rb2PmBr5 with its simulated powder diffractogram. Radiation: CuKα. Structure: a crystal structure in Alexandria, relaxed with GGA-PBE.
No peak broadening, texture or thermal motion is included.

Crystal structure
a b c (Å): 12.7273 8.4121 8.5032
angles (deg): 90.00 123.96 90.00
Atoms (fractional coordinates):
Rb  0.0000  0.0000  0.0000
Rb  0.0107  0.5000  0.5562
Rb  0.5000  0.5000  0.0000
Rb  0.5107  0.0000  0.5562
Pm  0.2486  0.5000  0.2671
Pm  0.7486  0.0000  0.2671
Br  0.1492  0.2615  0.3815
Br  0.1492  0.7385  0.3815
Br  0.2281  0.2776  0.9964
Br  0.2281  0.7224  0.9964
Br  0.4904  0.5000  0.5784
Br  0.6492  0.2385  0.3815
Br  0.6492  0.7615  0.3815
Br  0.7281  0.2224  0.9964
Br  0.7281  0.7776  0.9964
Br  0.9904  0.0000  0.5784

Main lines, by angle (2θ = 10–80°):
| 2theta | intensity |
| --- | --- |
| 12.55 | 31 |
| 13.46 | 65 |
| 16.80 | 25 |
| 21.44 | 31 |
| 23.53 | 27 |
| 26.13 | 29 |
| 27.11 | 39 |
| 30.01 | 100 |
| 40.38 | 29 |
| 42.97 | 32 |

---

No. 3
This entry pairs a crystal structure of RbSrPmBr6 with its simulated powder diffractogram. Radiation: CuKα. Structure: a crystal structure in Alexandria, relaxed with GGA-PBE.
No peak broadening, texture or thermal motion is included.

Crystal structure
a b c (Å): 7.8301 7.8301 14.6428
angles (deg): 90.00 90.00 120.00
Atoms (fractional coordinates):
Rb  0.0000  0.0000  0.0000
Rb  0.0000  0.0000  0.5000
Sr  0.3333  0.6667  0.2500
Sr  0.6667  0.3333  0.7500
Pm  0.3333  0.6667  0.7500
Pm  0.6667  0.3333  0.2500
Br  0.0171  0.3803  0.6362
Br  0.0171  0.6368  0.8638
Br  0.3632  0.3803  0.8638
Br  0.3632  0.9829  0.6362
Br  0.3803  0.0171  0.1362
Br  0.3803  0.3632  0.3638
Br  0.6197  0.6368  0.6362
Br  0.6197  0.9829  0.8638
Br  0.6368  0.0171  0.3638
Br  0.6368  0.6197  0.1362
Br  0.9829  0.3632  0.1362
Br  0.9829  0.6197  0.3638

Main lines, by angle (2θ = 10–80°):
| 2theta | intensity |
| --- | --- |
| 12.09 | 27 |
| 17.83 | 65 |
| 25.81 | 100 |
| 33.51 | 91 |
| 37.17 | 29 |
| 39.88 | 47 |
| 43.71 | 27 |
| 53.05 | 20 |
| 65.63 | 18 |
| 68.38 | 20 |

---

No. 4
This entry pairs a crystal structure of PmRhBr with its simulated powder diffractogram. Radiation: CuKα. Structure: a crystal structure in Alexandria, relaxed with GGA-PBE.
No peak broadening, texture or thermal motion is included.

Crystal structure
a b c (Å): 11.0690 11.0690 11.0690
angles (deg): 22.49 22.49 22.49
Atoms (fractional coordinates):
Pm  0.0571  0.0571  0.0571
Pm  0.9429  0.9429  0.9429
Rh  0.3346  0.3346  0.3346
Rh  0.6654  0.6654  0.6654
Br  0.2201  0.2201  0.2201
Br  0.7799  0.7799  0.7799

Main lines, by angle (2θ = 10–80°):
| 2theta | intensity |
| --- | --- |
| 23.96 | 28 |
| 30.76 | 100 |
| 32.61 | 44 |
| 36.73 | 26 |
| 38.96 | 38 |
| 41.85 | 79 |
| 42.72 | 21 |
| 52.82 | 21 |
| 67.85 | 33 |
| 69.56 | 19 |